(1)
The following is a theoretical X-ray powder pattern of ErCu2Ge2. It was derived from a crystal structure in the Materials Project, relaxed with PBE, using λ = 1.5418 Å (Cu Kα).
No peak broadening, texture or thermal motion is included.

Peak list (10 most intense, 15 to 90 degrees two-theta, by angle)
2θ (°), I/Imax
31.44, 22
34.21, 76
36.01, 100
45.07, 54
49.46, 34
57.77, 33
62.94, 13
65.63, 17
69.12, 25
77.20, 20

Structural model:
```
ErCu2Ge2
1.0
-2.0118 2.0118 5.1831
2.0118 -2.0118 5.1831
2.0118 2.0118 -5.1831
Er Cu Ge
1 2 2
Direct
0.0000 0.0000 0.0000
0.2500 0.7500 0.5000
0.7500 0.2500 0.5000
0.3818 0.3818 0.0000
0.6182 0.6182 0.0000
```



(2)
The following is a theoretical X-ray powder pattern of Rb2TlGaCl6. It was derived from a crystal structure in the Materials Project, relaxed with PBE, using λ = 1.5418 Å (Cu Kα).
No peak broadening, texture or thermal motion is included.

Peak list (10 most intense, 15 to 90 degrees two-theta, by angle)
2θ (°), I/Imax
16.29, 25
23.11, 100
27.17, 17
32.91, 58
35.96, 16
40.60, 43
47.23, 38
53.22, 25
64.01, 27
78.61, 14

Structural model:
```
Rb2TlGaCl6
1.0
0.0000 5.4429 5.4429
5.4429 0.0000 5.4429
5.4429 5.4429 0.0000
Rb Tl Ga Cl
2 1 1 6
Direct
0.2500 0.2500 0.2500
0.7500 0.7500 0.7500
0.0000 0.0000 0.0000
0.5000 0.5000 0.5000
0.2794 0.2794 0.7206
0.2794 0.7206 0.2794
0.2794 0.7206 0.7206
0.7206 0.2794 0.2794
0.7206 0.2794 0.7206
0.7206 0.7206 0.2794
```



(3)
The following is a theoretical X-ray powder pattern of Zr3Be. It was derived from a crystal structure in the Materials Project, relaxed with PBE, using λ = 1.5418 Å (Cu Kα).
No peak broadening, texture or thermal motion is included.

Peak list (10 most intense, 15 to 90 degrees two-theta, by angle)
2θ (°), I/Imax
20.18, 10
23.32, 29
36.29, 100
41.02, 18
42.72, 31
60.71, 21
62.00, 10
71.64, 13
74.01, 23
77.06, 10

Structural model:
```
Zr3Be
1.0
-2.1168 2.1168 4.4008
2.1168 -2.1168 4.4008
2.1168 2.1168 -4.4008
Zr Be
3 1
Direct
0.0000 0.0000 0.0000
0.2500 0.7500 0.5000
0.7500 0.2500 0.5000
0.5000 0.5000 0.0000
```



(4)
The following is a theoretical X-ray powder pattern of Ca2SnS4. It was derived from a crystal structure in the Materials Project, relaxed with PBE, using λ = 1.5418 Å (Cu Kα).
No peak broadening, texture or thermal motion is included.

Peak list (10 most intense, 15 to 90 degrees two-theta, by angle)
2θ (°), I/Imax
26.40, 52
26.85, 100
33.59, 26
33.89, 21
34.80, 37
37.41, 70
45.63, 26
47.37, 51
50.87, 21
54.18, 18

Structural model:
```
Ca2SnS4
1.0
7.0850 0.0000 0.0000
0.0000 11.5192 0.0000
0.0000 0.0000 3.9759
Ca Sn S
4 2 8
Direct
0.0854 0.1851 0.0000
0.4146 0.6851 0.0000
0.5854 0.3149 0.0000
0.9146 0.8149 0.0000
0.0000 0.5000 0.5000
0.5000 0.0000 0.5000
0.1323 0.7020 0.5000
0.2352 0.4476 0.0000
0.2648 0.9476 0.0000
0.3677 0.2020 0.5000
0.6323 0.7980 0.5000
0.7352 0.0524 0.0000
0.7648 0.5524 0.0000
0.8677 0.2980 0.5000
```



(5)
The following is a theoretical X-ray powder pattern of Ga2Co21B6. It was derived from a crystal structure in the Materials Project, relaxed with PBE, using λ = 1.5418 Å (Cu Kα).
No peak broadening, texture or thermal motion is included.

Peak list (10 most intense, 15 to 90 degrees two-theta, by angle)
2θ (°), I/Imax
38.48, 28
42.32, 33
45.02, 100
49.27, 22
51.69, 26
52.47, 11
58.52, 8
74.83, 8
77.39, 23
79.30, 12

Structural model:
```
Ga2Co21B6
1.0
0.0000 5.2315 5.2315
5.2315 0.0000 5.2315
5.2315 5.2315 0.0000
Ga Co B
2 21 6
Direct
0.2500 0.2500 0.2500
0.7500 0.7500 0.7500
0.0000 0.0000 0.0000
0.0000 0.0000 0.3366
0.0000 0.0000 0.6634
0.0000 0.3366 0.0000
0.0000 0.3366 0.6634
0.0000 0.6634 0.0000
0.0000 0.6634 0.3366
0.1470 0.6177 0.6177
0.3366 0.0000 0.0000
0.3366 0.0000 0.6634
0.3366 0.6634 0.0000
0.3823 0.3823 0.3823
0.3823 0.3823 0.8530
0.3823 0.8530 0.3823
0.6177 0.1470 0.6177
0.6177 0.6177 0.1470
0.6177 0.6177 0.6177
0.6634 0.0000 0.0000
0.6634 0.0000 0.3366
0.6634 0.3366 0.0000
0.8530 0.3823 0.3823
0.2770 0.2770 0.7230
0.2770 0.7230 0.2770
0.2770 0.7230 0.7230
0.7230 0.2770 0.2770
0.7230 0.2770 0.7230
0.7230 0.7230 0.2770
```



(6)
The following is a theoretical X-ray powder pattern of DyBO3. It was derived from a crystal structure in the Materials Project, relaxed with PBE, using λ = 1.5418 Å (Cu Kα).
No peak broadening, texture or thermal motion is included.

Peak list (10 most intense, 15 to 90 degrees two-theta, by angle)
2θ (°), I/Imax
20.34, 55
27.60, 30
27.81, 32
30.47, 51
30.58, 100
32.16, 28
37.91, 17
47.59, 17
50.56, 18
50.71, 23

Structural model:
```
DyBO3
1.0
7.2432 0.0000 0.0000
1.9853 8.8161 0.0000
0.7370 1.3621 9.8000
Dy B O
12 12 36
Direct
0.0647 0.0586 0.1575
0.0732 0.5567 0.6554
0.2378 0.9413 0.5271
0.2513 0.4569 0.0191
0.4019 0.0645 0.8287
0.4015 0.5683 0.3368
0.5985 0.4317 0.6632
0.5981 0.9355 0.1713
0.7487 0.5431 0.9809
0.7622 0.0587 0.4729
0.9268 0.4433 0.3446
0.9353 0.9414 0.8425
0.0221 0.2155 0.5776
0.0337 0.7207 0.1131
0.2805 0.7172 0.8084
0.3318 0.2286 0.2946
0.3834 0.2441 0.5511
0.3917 0.7482 0.0518
0.6083 0.2518 0.9482
0.6166 0.7559 0.4489
0.6682 0.7714 0.7054
0.7195 0.2828 0.1916
0.9663 0.2793 0.8869
0.9779 0.7845 0.4224
0.0262 0.1885 0.4295
0.0461 0.4054 0.8747
0.0650 0.9052 0.3508
0.0657 0.1322 0.9162
0.0712 0.6278 0.4126
0.0930 0.6862 0.8671
0.2274 0.1776 0.6264
0.2307 0.6833 0.1350
0.2542 0.3829 0.2605
0.2550 0.8827 0.7631
0.3323 0.1306 0.2007
0.3442 0.6249 0.6989
0.3469 0.4094 0.5355
0.3497 0.9123 0.0345
0.4168 0.1669 0.4195
0.4186 0.6627 0.9279
0.4382 0.3141 0.8704
0.4443 0.8187 0.3736
0.5557 0.1813 0.6264
0.5618 0.6859 0.1296
0.5814 0.3373 0.0721
0.5832 0.8331 0.5805
0.6503 0.0877 0.9655
0.6531 0.5906 0.4645
0.6558 0.3751 0.3011
0.6677 0.8694 0.7993
0.7450 0.1173 0.2369
0.7458 0.6171 0.7395
0.7693 0.3167 0.8650
0.7726 0.8224 0.3736
0.9070 0.3138 0.1329
0.9288 0.3722 0.5874
0.9343 0.8678 0.0838
0.9350 0.0948 0.6492
0.9538 0.5946 0.1253
0.9738 0.8115 0.5705
```



(7)
The following is a theoretical X-ray powder pattern of DyN. It was derived from a crystal structure in the Materials Project, relaxed with PBE, using λ = 1.5418 Å (Cu Kα).
No peak broadening, texture or thermal motion is included.

Peak list (8 most intense, 15 to 90 degrees two-theta, by angle)
2θ (°), I/Imax
31.54, 100
36.58, 71
52.70, 49
62.73, 45
65.86, 16
77.76, 8
86.32, 19
89.14, 23

Structural model:
```
DyN
1.0
0.0000 2.4563 2.4563
2.4563 0.0000 2.4563
2.4563 2.4563 0.0000
Dy N
1 1
Direct
0.0000 0.0000 0.0000
0.5000 0.5000 0.5000
```



(8)
The following is a theoretical X-ray powder pattern of SrZrO3. It was derived from a crystal structure in the Materials Project, relaxed with PBE, using λ = 1.5418 Å (Cu Kα).
No peak broadening, texture or thermal motion is included.

Peak list (10 most intense, 15 to 90 degrees two-theta, by angle)
2θ (°), I/Imax
30.26, 100
30.60, 57
42.81, 19
43.83, 32
53.53, 23
54.18, 46
62.93, 20
72.33, 11
86.99, 12
87.87, 14

Structural model:
```
SrZrO3
1.0
5.8426 0.0000 0.0000
0.0000 5.8426 0.0000
0.0000 0.0000 4.2250
Sr Zr O
2 2 6
Direct
0.0000 0.5000 0.0000
0.5000 0.0000 0.0000
0.0000 0.0000 0.5000
0.5000 0.5000 0.5000
0.0000 0.0000 0.0000
0.1915 0.3085 0.5000
0.3085 0.8085 0.5000
0.5000 0.5000 0.0000
0.6915 0.1915 0.5000
0.8085 0.6915 0.5000
```



(9)
The following is a theoretical X-ray powder pattern of K3Cu11Te16. It was derived from a crystal structure in the Materials Project, relaxed with PBE, using λ = 1.5418 Å (Cu Kα).
No peak broadening, texture or thermal motion is included.

Peak list (10 most intense, 15 to 90 degrees two-theta, by angle)
2θ (°), I/Imax
20.01, 95
23.83, 64
27.06, 100
28.83, 64
29.19, 95
29.65, 49
31.05, 64
45.03, 71
45.39, 58
47.04, 89

Structural model:
```
K3Cu11Te16
1.0
-9.8603 11.9363 3.4899
9.8603 -11.9363 3.4899
9.8603 11.9363 -3.4899
K Cu Te
6 22 32
Direct
0.0000 0.0000 0.0000
0.3229 0.2252 0.4022
0.3229 0.9207 0.0978
0.5000 0.0000 0.5000
0.6771 0.0793 0.9022
0.6771 0.7748 0.5978
0.1140 0.5904 0.2979
0.1140 0.8161 0.5236
0.1437 0.0000 0.6437
0.1437 0.5000 0.1437
0.2075 0.1839 0.7979
0.2075 0.4096 0.0236
0.2812 0.5830 0.4874
0.2812 0.7938 0.6983
0.3988 0.6488 0.7500
0.4045 0.2062 0.9874
0.4045 0.4170 0.1983
0.5955 0.5830 0.8017
0.5955 0.7938 0.0126
0.6012 0.3512 0.2500
0.7188 0.2062 0.3017
0.7188 0.4170 0.5126
0.7925 0.5904 0.9764
0.7925 0.8161 0.2021
0.8563 0.0000 0.3563
0.8563 0.5000 0.8563
0.8860 0.1839 0.4764
0.8860 0.4096 0.7021
0.0000 0.4257 0.4257
0.0000 0.5743 0.5743
0.0664 0.2081 0.8583
0.0741 0.1904 0.2357
0.0741 0.8384 0.8837
0.1465 0.2989 0.6524
0.1465 0.4942 0.8476
0.1502 0.7919 0.3583
0.1788 0.3305 0.4737
0.1788 0.7051 0.8483
0.3537 0.2040 0.1497
0.3568 0.3305 0.6517
0.3568 0.7051 0.0263
0.4457 0.7960 0.6497
0.4547 0.1904 0.6163
0.4547 0.8384 0.2643
0.5000 0.4257 0.9257
0.5000 0.5743 0.0743
0.5453 0.1616 0.7357
0.5453 0.8096 0.3837
0.5543 0.2040 0.3503
0.6432 0.2949 0.9737
0.6432 0.6695 0.3483
0.6463 0.7960 0.8503
0.8212 0.2949 0.1517
0.8212 0.6695 0.5263
0.8498 0.2081 0.6417
0.8535 0.5058 0.1524
0.8535 0.7011 0.3476
0.9259 0.1616 0.1163
0.9259 0.8096 0.7643
0.9336 0.7919 0.1417
```